[1]
The following is a theoretical powder X-ray diffraction pattern of TbNb2CoN4. It was derived from a structure optimized by DFT (PBE), using Cu Kα (λ = 1.5418 Å).

Structure:
a b c (Å): 3.1450 10.6739 10.8249
angles (deg): 90.00 90.00 90.00
Space group Cmcm (No. 63)
Asymmetric unit:
Tb 0.0000 0.1095 0.2500 [4 per cell]
Nb 0.0000 0.3691 0.0580 [8 per cell]
Co 0.0000 0.1567 0.7500 [4 per cell]
N 0.0000 0.0000 0.0000 [4 per cell]
N 0.0000 0.2739 0.6144 [8 per cell]
N 0.0000 0.4490 0.2500 [4 per cell]

Principal peaks in the range 10° ≤ 2θ ≤ 80°, low angle first:
2theta, intensity, index
29.89, 86, 0 2 3
33.10, 31, 0 0 4
33.58, 57, 0 4 0
34.02, 100, 1 1 2
39.12, 51, 1 3 1
41.81, 78, 1 3 2
45.00, 19, 1 1 4
51.99, 23, 1 1 5
54.65, 30, 1 5 2
57.81, 43, 0 6 3
58.71, 20, 2 0 0
69.03, 18, 2 0 4

***

[2]
The following is a theoretical powder X-ray diffraction pattern of Tb3PmOs. It was derived from a structure optimized by DFT (PBE), using Cu Kα (λ = 1.5418 Å).

Structure:
a b c (Å): 4.9247 9.7548 6.6083
angles (deg): 90.00 111.79 90.00
Space group P2_1/m (No. 11)
Asymmetric unit:
Tb 0.1336 0.9999 0.2653 [4 per cell]
Tb 0.3665 0.2500 0.7342 [2 per cell]
Pm 0.3613 0.7500 0.7230 [2 per cell]
Os 0.0028 0.7500 0.0046 [2 per cell]

Principal peaks in the range 10° ≤ 2θ ≤ 80°, low angle first:
2theta, intensity, index
18.19, 7, 0 2 0
19.42, 16, 1 0 -1
23.30, 8, 0 2 1
26.73, 20, 1 2 -1
29.11, 14, 0 0 2
33.90, 100, 1 2 1
36.49, 28, 2 0 -1
36.86, 27, 0 4 0
45.27, 22, 1 2 -3
52.84, 19, 2 4 -1
64.03, 16, 3 2 0
64.52, 16, 1 6 1

***

What did the first record say?
The following is a theoretical powder X-ray diffraction pattern of TbNb2CoN4. It was derived from a structure optimized by DFT (PBE), using Cu Kα (λ = 1.5418 Å).

Structure:
a b c (Å): 3.1450 10.6739 10.8249
angles (deg): 90.00 90.00 90.00
Space group Cmcm (No. 63)
Asymmetric unit:
Tb 0.0000 0.1095 0.2500 [4 per cell]
Nb 0.0000 0.3691 0.0580 [8 per cell]
Co 0.0000 0.1567 0.7500 [4 per cell]
N 0.0000 0.0000 0.0000 [4 per cell]
N 0.0000 0.2739 0.6144 [8 per cell]
N 0.0000 0.4490 0.2500 [4 per cell]

Principal peaks in the range 10° ≤ 2θ ≤ 80°, low angle first:
2theta, intensity, index
29.89, 86, 0 2 3
33.10, 31, 0 0 4
33.58, 57, 0 4 0
34.02, 100, 1 1 2
39.12, 51, 1 3 1
41.81, 78, 1 3 2
45.00, 19, 1 1 4
51.99, 23, 1 1 5
54.65, 30, 1 5 2
57.81, 43, 0 6 3
58.71, 20, 2 0 0
69.03, 18, 2 0 4